Structure and theoretical powder diffraction line list of K2Ca3F8 (a structure optimized by DFT (GGA-PBE); CuKα).
Peak positions follow from Bragg's law for the DFT cell and can differ from measured ones.

Most intense lines, 2θ from 10° to 90°, low angle first:
5.895 Å, I = 91; 5.079 Å, I = 42; 3.796 Å, I = 86; 3.458 Å, I = 62; 2.916 Å, I = 66; 2.342 Å, I = 100; 2.243 Å, I = 53; 1.928 Å, I = 54; 1.813 Å, I = 44; 1.747 Å, I = 81

Structure:
a = 12.631 Å, b = 7.123 Å, c = 6.022 Å
α = 90.00°, β = 111.04°, γ = 90.00°
Space group C2/m (No. 12)
Symmetry-distinct sites (fractional):
K  0.218  0.000  0.154 [4 per cell]
Ca  0.000  0.242  0.500 [4 per cell]
Ca  0.000  0.500  0.000 [2 per cell]
F  0.093  0.500  0.409 [4 per cell]
F  0.101  0.000  0.440 [4 per cell]
F  0.104  0.284  0.890 [8 per cell]

***

Structure and theoretical powder diffraction line list of La3Dy8Tm4 (a structure optimized by DFT (GGA-PBE); CuKα).
Peak positions follow from Bragg's law for the DFT cell and can differ from measured ones.

Most intense lines, 2θ from 10° to 90°, low angle first:
3.204 Å, I = 36; 2.920 Å, I = 100; 2.902 Å, I = 49; 2.807 Å, I = 28; 2.318 Å, I = 12; 2.158 Å, I = 47; 2.151 Å, I = 23; 1.690 Å, I = 10; 1.404 Å, I = 20; 1.402 Å, I = 10

Structure:
a = 13.415 Å, b = 12.814 Å, c = 6.759 Å
α = 90.00°, β = 120.09°, γ = 90.00°
Space group C2/m (No. 12)
Symmetry-distinct sites (fractional):
La  0.000  0.000  0.000 [2 per cell]
La  0.250  0.250  0.500 [4 per cell]
Dy  0.000  0.142  0.500 [4 per cell]
Dy  0.000  0.248  0.000 [4 per cell]
Dy  0.231  0.000  0.511 [4 per cell]
Dy  0.244  0.000  0.999 [4 per cell]
Tm  0.000  0.500  0.000 [2 per cell]
Tm  0.000  0.500  0.500 [2 per cell]
Tm  0.250  0.250  0.000 [4 per cell]

***

Structure and theoretical powder diffraction line list of PmNdErCu (a structure optimized by DFT (GGA-PBE); CuKα).
Peak positions follow from Bragg's law for the DFT cell and can differ from measured ones.

Most intense lines, 2θ from 10° to 90°, low angle first:
3.293 Å, I = 26; 2.911 Å, I = 18; 2.757 Å, I = 100; 2.514 Å, I = 53; 2.252 Å, I = 11; 1.903 Å, I = 21; 1.778 Å, I = 19; 1.568 Å, I = 14; 1.494 Å, I = 31; 1.176 Å, I = 11

Structure:
a = 3.555 Å, b = 3.555 Å, c = 8.733 Å
α = 90.00°, β = 90.00°, γ = 90.00°
Space group P4mm (No. 99)
Symmetry-distinct sites (fractional):
Pm  0.000  0.000  0.000 [1 per cell]
Nd  0.500  0.500  0.310 [1 per cell]
Er  0.000  0.000  0.612 [1 per cell]
Cu  0.500  0.500  0.788 [1 per cell]

***

Structure and theoretical powder diffraction line list of CeSm2DyTh (a structure optimized by DFT (GGA-PBE); CuKα).
Peak positions follow from Bragg's law for the DFT cell and can differ from measured ones.

Most intense lines, 2θ from 10° to 90°, low angle first:
4.265 Å, I = 45; 3.211 Å, I = 53; 2.942 Å, I = 100; 2.843 Å, I = 43; 2.782 Å, I = 45; 2.764 Å, I = 69; 2.658 Å, I = 68; 2.526 Å, I = 46; 2.445 Å, I = 58; 2.309 Å, I = 50

Structure:
a = 8.925 Å, b = 6.270 Å, c = 6.438 Å
α = 90.00°, β = 107.10°, γ = 90.00°
Space group P2/c (No. 13)
Symmetry-distinct sites (fractional):
Ce  0.000  0.162  0.250 [2 per cell]
Sm  0.183  0.315  0.838 [4 per cell]
Dy  0.500  0.488  0.250 [2 per cell]
Th  0.500  0.000  0.000 [2 per cell]